Structure and theoretical PXRD pattern of Mg16Al12Zn (the GGA-PBE geometry in the Materials Project; Cu Kα (λ = 1.5418 Å)).

Cell and atoms:
Cell: 10.5122 10.5122 10.5122 Å, 90.00 90.00 90.00°
Space group I-43m (No. 217)
Unique sites:
Mg 0.0441 0.3572 0.3572 (multiplicity 24)
Mg 0.1654 0.1654 0.8346 (multiplicity 8)
Al 0.0913 0.0913 0.2771 (multiplicity 24)
Zn 0.0000 0.0000 0.0000 (multiplicity 2)

Most intense lines, 2θ = 10–80°, most intense first:
d (Å), 2θ (°), I/Imax, hkl
2.478, 36.26, 100, 3 3 0
2.241, 40.24, 26, 3 3 2
1.431, 65.22, 26, 7 2 1
7.433, 11.91, 13, 1 1 0
2.146, 42.11, 13, 4 2 2
2.062, 43.92, 12, 4 3 1
1.487, 62.47, 10, 5 5 0
2.809, 31.85, 8, 3 2 1
1.239, 76.96, 7, 6 6 0
1.335, 70.54, 6, 6 5 1